Entry 1:
Structure and theoretical X-ray powder pattern of Tl17InHg11 (the PBE geometry in Alexandria; Cu Kα).
Intensities are scaled so that the largest is 100.

Most intense lines, 15° ≤ 2θ ≤ 90°, by angle:
d 2.904, rel. 74; d 2.887, rel. 86; d 2.797, rel. 100; d 2.780, rel. 48; d 2.738, rel. 70; d 2.726, rel. 31; d 2.716, rel. 59; d 2.704, rel. 32; d 2.470, rel. 53; d 1.629, rel. 33

a = 10.0881 Å, b = 10.0881 Å, c = 10.1216 Å
α = 107.38°, β = 107.38°, γ = 107.88°
Sites, in units of the cell vectors:
Tl 0.0000 0.0000 0.0000
Tl 0.9996 0.4043 0.0412
Tl 0.0044 0.0044 0.3579
Tl 0.0037 0.6767 0.7657
Tl 0.0116 0.6495 0.3720
Tl 0.3012 0.6018 0.9673
Tl 0.3125 0.3125 0.0716
Tl 0.3192 0.7110 0.6796
Tl 0.3350 0.3350 0.6914
Tl 0.4043 0.9996 0.0412
Tl 0.4067 0.6812 0.3651
Tl 0.6018 0.3012 0.9673
Tl 0.6145 0.6145 0.6660
Tl 0.6495 0.0116 0.3720
Tl 0.6767 0.0037 0.7657
Tl 0.6812 0.4067 0.3651
Tl 0.7110 0.3192 0.6796
In 0.8279 0.8279 0.5501
Hg 0.1837 0.3713 0.3527
Hg 0.1848 0.8119 0.1746
Hg 0.1894 0.9971 0.7350
Hg 0.3700 0.9954 0.5427
Hg 0.3713 0.1837 0.3527
Hg 0.6375 0.8288 0.0033
Hg 0.6407 0.6407 0.2003
Hg 0.8119 0.1848 0.1746
Hg 0.8288 0.6375 0.0033
Hg 0.9954 0.3700 0.5427
Hg 0.9971 0.1894 0.7350



Entry 2:
Structure and theoretical X-ray powder pattern of Tl2In4Hg3 (the PBE geometry in Alexandria; Cu Kα).
Intensities are scaled so that the largest is 100.

Most intense lines, 15° ≤ 2θ ≤ 90°, by angle:
d 3.017, rel. 59; d 2.866, rel. 55; d 2.752, rel. 100; d 2.420, rel. 35; d 2.318, rel. 29; d 2.055, rel. 21; d 2.012, rel. 18; d 1.849, rel. 13; d 1.833, rel. 14; d 1.632, rel. 20

a = 12.1367 Å, b = 12.1367 Å, c = 4.1785 Å
α = 94.78°, β = 94.78°, γ = 56.36°
Sites, in units of the cell vectors:
Tl 0.0078 0.7649 0.7100
Tl 0.2351 0.9922 0.7900
Tl 0.7649 0.0078 0.2100
Tl 0.9922 0.2351 0.2900
In 0.1150 0.3523 0.8397
In 0.3286 0.5579 0.9633
In 0.3523 0.1150 0.3397
In 0.4421 0.6714 0.5367
In 0.5579 0.3286 0.4633
In 0.6477 0.8850 0.6603
In 0.6714 0.4421 0.0367
In 0.8850 0.6477 0.1603
Hg 0.1314 0.8686 0.2500
Hg 0.2094 0.4660 0.3945
Hg 0.4660 0.2094 0.8945
Hg 0.5340 0.7906 0.1055
Hg 0.7906 0.5340 0.6055
Hg 0.8686 0.1314 0.7500



Entry 3:
Structure and theoretical X-ray powder pattern of Tl3In3Hg10 (the PBE geometry in Alexandria; Cu Kα).
Intensities are scaled so that the largest is 100.

Most intense lines, 15° ≤ 2θ ≤ 90°, by angle:
d 3.003, rel. 20; d 2.959, rel. 58; d 2.906, rel. 100; d 2.828, rel. 77; d 2.789, rel. 27; d 2.601, rel. 63; d 2.410, rel. 54; d 2.388, rel. 34; d 2.200, rel. 45; d 1.889, rel. 25

a = 6.1080 Å, b = 9.0170 Å, c = 9.1980 Å
α = 67.02°, β = 83.55°, γ = 75.63°
Sites, in units of the cell vectors:
Tl 0.0000 0.0000 0.0000
Tl 0.0672 0.2451 0.2407
Tl 0.9199 0.5025 0.4893
In 0.3989 0.5819 0.2760
In 0.4262 0.8340 0.5357
In 0.5075 0.0734 0.7891
Hg 0.0015 0.3882 0.8631
Hg 0.0337 0.1105 0.6240
Hg 0.3823 0.6969 0.9075
Hg 0.4396 0.4569 0.6623
Hg 0.4878 0.9409 0.1683
Hg 0.5431 0.3140 0.0366
Hg 0.5502 0.1998 0.4173
Hg 0.8815 0.6366 0.1091
Hg 0.8830 0.7663 0.7419
Hg 0.9451 0.8808 0.3776



Entry 4:
Structure and theoretical X-ray powder pattern of Tl2In4Hg3 (the PBE geometry in Alexandria; Cu Kα).
Intensities are scaled so that the largest is 100.

Most intense lines, 15° ≤ 2θ ≤ 90°, by angle:
d 3.123, rel. 21; d 2.975, rel. 28; d 2.855, rel. 29; d 2.828, rel. 76; d 2.728, rel. 100; d 2.359, rel. 24; d 2.279, rel. 27; d 1.833, rel. 22; d 1.752, rel. 22; d 1.561, rel. 26

a = 8.9414 Å, b = 8.9414 Å, c = 9.1256 Å
α = 90.00°, β = 90.00°, γ = 135.27°
Sites, in units of the cell vectors:
Tl 0.1015 0.8985 0.9154
Tl 0.3985 0.6015 0.4154
Tl 0.6015 0.3985 0.5846
Tl 0.8985 0.1015 0.0846
In 0.1822 0.8178 0.5152
In 0.1915 0.3085 0.7500
In 0.3085 0.1915 0.2500
In 0.3178 0.6822 0.0152
In 0.6822 0.3178 0.9848
In 0.6915 0.8085 0.7500
In 0.8085 0.6915 0.2500
In 0.8178 0.1822 0.4848
Hg 0.0000 0.0000 0.5000
Hg 0.0102 0.4898 0.7500
Hg 0.4898 0.0102 0.2500
Hg 0.5000 0.5000 0.0000
Hg 0.5102 0.9898 0.7500
Hg 0.9898 0.5102 0.2500



Entry 5:
Structure and theoretical X-ray powder pattern of TlIn6Hg4 (the PBE geometry in Alexandria; Cu Kα).
Intensities are scaled so that the largest is 100.

Most intense lines, 15° ≤ 2θ ≤ 90°, by angle:
d 4.255, rel. 26; d 3.665, rel. 34; d 3.609, rel. 31; d 3.329, rel. 23; d 2.453, rel. 26; d 2.429, rel. 50; d 2.421, rel. 100; d 2.400, rel. 23; d 2.238, rel. 26; d 2.210, rel. 25

a = 4.8389 Å, b = 4.8445 Å, c = 14.1223 Å
α = 98.93°, β = 99.02°, γ = 90.12°
Sites, in units of the cell vectors:
Tl 0.0000 0.0000 0.0000
In 0.1168 0.6221 0.2337
In 0.2512 0.7482 0.4999
In 0.3786 0.8832 0.7666
In 0.6214 0.1168 0.2334
In 0.7488 0.2518 0.5001
In 0.8832 0.3779 0.7663
Hg 0.1866 0.1866 0.3690
Hg 0.4451 0.4445 0.8974
Hg 0.5549 0.5555 0.1026
Hg 0.8134 0.8134 0.6310



Q: Number 3 is which compound?
A: Tl3In3Hg10